This entry pairs a crystal structure of MnRuNO with its simulated XRD peak list. Radiation: Cu Ka. Structure: a PBE+U-relaxed structure.
Peak positions follow from Bragg's law for the DFT cell and can differ from measured ones.

The 10 most intense peaks (10 to 80 degrees two-theta), sorted by position:
2θ 14.4, intensity 20, (0 0 1); 2θ 29.0, intensity 66, (0 0 2); 2θ 36.7, intensity 50, (2 0 0); 2θ 36.8, intensity 100, (1 1 -1); 2θ 40.5, intensity 24, (2 0 -2); 2θ 40.6, intensity 48, (1 1 1); 2θ 53.6, intensity 52, (2 0 2); 2θ 62.1, intensity 23, (1 1 3); 2θ 63.4, intensity 23, (3 1 -1); 2θ 71.2, intensity 20, (3 1 1)

Cell and atoms:
```
data_MnRuNO
_space_group_name_H-M_alt 'P 1'
_space_group_IT_number 1
_cell_length_a 5.0849
_cell_length_b 2.9232
_cell_length_c 6.3936
_cell_angle_alpha 90.00
_cell_angle_beta 105.40
_cell_angle_gamma 90.00
loop_
_space_group_symop_operation_xyz
'x,y,z'
loop_
_atom_site_label
_atom_site_fract_x
_atom_site_fract_y
_atom_site_fract_z
Mn1 0.0000 0.0000 0.0000
Mn2 0.5000 0.5000 0.0000
Ru1 0.0060 0.5000 0.5167
Ru2 0.5060 0.0000 0.5167
N1 0.1049 0.5000 0.8138
N2 0.6049 0.0000 0.8138
O1 0.3937 0.0000 0.1823
O2 0.8937 0.5000 0.1823
```